No. 1
Sm7Y6Ho16: theoretical powder diffractogram (λ = 1.5418 Å (Cu Kα)), based on the PBE geometry in Alexandria.
Intensities are scaled so that the largest is 100.

Largest 8 diffraction maxima, low angle first, 10 to 90 degrees two-theta:
2θ = 11.2°, I 7; 2θ = 29.5°, I 13; 2θ = 32.1°, I 100; 2θ = 33.7°, I 10; 2θ = 46.1°, I 13; 2θ = 53.0°, I 7; 2θ = 57.3°, I 24; 2θ = 58.3°, I 7

Crystal structure
```
29
Lattice="0.000 7.877 7.877 7.877 0.000 7.877 7.877 7.877 0.000" Properties=species:S:1:pos:R:3 pbc="T T T"
Sm 0.000 0.000 0.000
Sm 3.939 3.939 0.000
Sm 3.939 0.000 3.939
Sm 7.877 3.939 3.939
Sm 0.000 3.939 3.939
Sm 3.939 7.877 3.939
Sm 3.939 3.939 7.877
Y 7.877 7.877 4.318
Y 7.877 4.318 7.877
Y 11.437 7.877 7.877
Y 4.318 7.877 7.877
Y 7.877 11.437 7.877
Y 7.877 7.877 11.437
Ho 10.284 5.470 5.470
Ho 1.970 1.970 1.970
Ho 5.908 5.908 1.970
Ho 5.908 1.970 5.908
Ho 5.470 5.470 5.470
Ho 10.284 10.284 5.470
Ho 10.284 5.470 10.284
Ho 13.785 9.847 9.847
Ho 1.970 5.908 5.908
Ho 5.470 10.284 5.470
Ho 5.470 5.470 10.284
Ho 10.284 10.284 10.284
Ho 9.847 13.785 9.847
Ho 9.847 9.847 13.785
Ho 13.785 13.785 13.785
Ho 5.470 10.284 10.284
```

No. 2
Sm5Y3Ho: theoretical powder diffractogram (λ = 1.5418 Å (Cu Kα)), based on the PBE geometry in Alexandria.
Intensities are scaled so that the largest is 100.

Largest 8 diffraction maxima, low angle first, 10 to 90 degrees two-theta:
2θ = 20.2°, I 18; 2θ = 30.8°, I 100; 2θ = 31.1°, I 73; 2θ = 31.2°, I 51; 2θ = 32.0°, I 17; 2θ = 32.8°, I 26; 2θ = 33.1°, I 21; 2θ = 35.3°, I 21

Crystal structure
```
18
Lattice="8.184 -3.381 0.000 8.184 3.381 0.000 -3.983 0.000 10.885" Properties=species:S:1:pos:R:3 pbc="T T T"
Sm -0.386 0.018 5.974
Sm 1.606 -0.018 0.532
Sm 5.196 2.135 8.164
Sm 2.785 0.626 7.078
Sm 4.777 -0.626 1.635
Sm 7.607 0.626 9.250
Sm 9.599 -0.626 3.807
Sm 7.188 -2.135 2.721
Sm 10.778 0.018 10.354
Sm 12.770 -0.018 4.911
Y 0.450 0.677 9.461
Y 2.441 -0.677 4.018
Y 8.184 0.000 0.000
Y 6.192 0.000 5.443
Y 9.943 0.677 6.867
Y 11.935 -0.677 1.425
Ho 7.188 1.600 2.721
Ho 5.196 -1.600 8.164
```

No. 3
Sm2Y4Ho3: theoretical powder diffractogram (λ = 1.5418 Å (Cu Kα)), based on the PBE geometry in Alexandria.
Intensities are scaled so that the largest is 100.

Largest 8 diffraction maxima, low angle first, 10 to 90 degrees two-theta:
2θ = 28.1°, I 15; 2θ = 30.2°, I 64; 2θ = 30.8°, I 100; 2θ = 31.7°, I 97; 2θ = 37.4°, I 27; 2θ = 38.0°, I 30; 2θ = 55.9°, I 20; 2θ = 58.1°, I 14

Crystal structure
```
18
Lattice="8.141 -5.809 0.000 8.141 5.809 0.000 -0.635 0.000 6.116" Properties=species:S:1:pos:R:3 pbc="T T T"
Sm 5.736 4.129 4.139
Sm 9.592 4.129 5.034
Sm 6.054 -4.129 1.082
Sm 9.910 -4.129 1.976
Y 2.942 1.601 5.191
Y 6.753 1.647 6.030
Y 3.260 -1.601 2.133
Y 8.575 1.647 3.144
Y 7.071 -1.647 2.972
Y 12.386 1.601 3.983
Y 8.893 -1.647 0.086
Y 12.704 -1.601 0.925
Ho 7.982 4.704 1.529
Ho 5.182 1.139 2.509
Ho 4.864 -1.139 5.567
Ho 10.782 1.139 0.549
Ho 10.464 -1.139 3.606
Ho 7.664 -4.704 4.587
```

No. 4
Sm4Y6Ho19: theoretical powder diffractogram (λ = 1.5418 Å (Cu Kα)), based on the PBE geometry in Alexandria.
Intensities are scaled so that the largest is 100.

Largest 8 diffraction maxima, low angle first, 10 to 90 degrees two-theta:
2θ = 26.8°, I 34; 2θ = 28.7°, I 58; 2θ = 30.5°, I 100; 2θ = 35.3°, I 38; 2θ = 36.8°, I 56; 2θ = 52.0°, I 18; 2θ = 54.2°, I 25; 2θ = 60.4°, I 24

Crystal structure
```
29
Lattice="-6.222 6.222 6.222 6.222 -6.222 6.222 6.222 6.222 -6.222" Properties=species:S:1:pos:R:3 pbc="T T T"
Sm 3.985 3.985 -3.985
Sm 3.985 -3.985 3.985
Sm 2.237 2.237 2.237
Sm -3.985 3.985 3.985
Y 6.222 0.000 1.606
Y 6.222 4.616 0.000
Y 1.606 6.222 0.000
Y 4.616 0.000 6.222
Y 0.000 1.606 6.222
Y 0.000 6.222 4.616
Ho 0.000 0.000 0.000
Ho 3.237 0.000 0.000
Ho 9.207 0.000 0.000
Ho 7.008 -2.780 2.990
Ho 3.442 3.232 -0.786
Ho 3.232 -0.786 3.442
Ho 0.000 3.237 0.000
Ho 0.000 0.000 3.237
Ho 9.002 3.232 0.786
Ho 2.990 7.008 -2.780
Ho 5.436 2.780 2.990
Ho -0.786 3.442 3.232
Ho 2.990 5.436 2.780
Ho 2.780 2.990 5.436
Ho 0.000 9.207 0.000
Ho 0.000 0.000 9.207
Ho 3.232 0.786 9.002
Ho -2.780 2.990 7.008
Ho 0.786 9.002 3.232
```

No. 5
Sm3Y3Ho2: theoretical powder diffractogram (λ = 1.5418 Å (Cu Kα)), based on the PBE geometry in Alexandria.
Intensities are scaled so that the largest is 100.

Largest 8 diffraction maxima, low angle first, 10 to 90 degrees two-theta:
2θ = 29.7°, I 42; 2θ = 31.3°, I 60; 2θ = 31.6°, I 100; 2θ = 32.2°, I 100; 2θ = 34.3°, I 30; 2θ = 43.7°, I 29; 2θ = 55.8°, I 20; 2θ = 56.2°, I 20

Crystal structure
```
8
Lattice="8.137 -2.860 0.000 8.137 2.860 0.000 -2.073 0.000 5.651" Properties=species:S:1:pos:R:3 pbc="T T T"
Sm 0.000 0.000 0.000
Sm 0.744 0.000 3.931
Sm 13.456 0.000 1.720
Y 4.067 0.000 5.194
Y 7.100 0.000 2.826
Y 10.134 0.000 0.457
Ho 3.397 0.000 1.794
Ho 10.803 0.000 3.857
```

No. 6
Sm7Y2Ho3: theoretical powder diffractogram (λ = 1.5418 Å (Cu Kα)), based on the PBE geometry in Alexandria.
Intensities are scaled so that the largest is 100.

Largest 8 diffraction maxima, low angle first, 10 to 90 degrees two-theta:
2θ = 28.1°, I 18; 2θ = 30.1°, I 33; 2θ = 31.0°, I 72; 2θ = 31.5°, I 100; 2θ = 33.5°, I 24; 2θ = 34.3°, I 21; 2θ = 50.4°, I 25; 2θ = 55.5°, I 20

Crystal structure
```
12
Lattice="2.881 -19.059 0.000 2.881 19.059 0.000 0.000 0.000 3.620" Properties=species:S:1:pos:R:3 pbc="T T T"
Sm 0.000 0.000 0.000
Sm 2.881 16.312 1.810
Sm 2.881 10.216 0.000
Sm 2.881 3.519 0.000
Sm 2.881 -3.519 0.000
Sm 2.881 -10.216 0.000
Sm 2.881 -16.312 1.810
Y 2.881 13.396 0.000
Y 2.881 -13.396 0.000
Ho 2.881 7.053 1.810
Ho 2.881 0.000 1.810
Ho 2.881 -7.053 1.810
```

No. 7
Sm5Y2Ho4: theoretical powder diffractogram (λ = 1.5418 Å (Cu Kα)), based on the PBE geometry in Alexandria.
Intensities are scaled so that the largest is 100.

Largest 8 diffraction maxima, low angle first, 10 to 90 degrees two-theta:
2θ = 30.7°, I 89; 2θ = 31.5°, I 52; 2θ = 31.7°, I 100; 2θ = 32.1°, I 47; 2θ = 43.4°, I 15; 2θ = 45.9°, I 13; 2θ = 56.8°, I 13; 2θ = 57.1°, I 13

Crystal structure
```
11
Lattice="6.532 0.000 0.000 0.598 6.559 0.000 2.820 1.564 8.422" Properties=species:S:1:pos:R:3 pbc="T T T"
Sm 0.000 0.000 0.000
Sm 3.249 6.381 5.192
Sm 4.056 2.886 5.118
Sm 5.894 5.236 3.304
Sm 6.701 1.742 3.229
Y 3.285 0.859 1.662
Y 6.665 7.263 6.759
Ho 2.518 4.326 2.511
Ho 4.732 4.696 7.905
Ho 5.218 3.426 0.516
Ho 7.432 3.796 5.911
```

No. 8
SmY8Ho5: theoretical powder diffractogram (λ = 1.5418 Å (Cu Kα)), based on the PBE geometry in Alexandria.
Intensities are scaled so that the largest is 100.

Largest 8 diffraction maxima, low angle first, 10 to 90 degrees two-theta:
2θ = 22.6°, I 33; 2θ = 27.9°, I 54; 2θ = 29.5°, I 71; 2θ = 29.6°, I 76; 2θ = 33.8°, I 100; 2θ = 34.6°, I 39; 2θ = 35.1°, I 48; 2θ = 62.8°, I 23

Crystal structure
```
14
Lattice="-4.765 4.765 5.092 4.765 -4.765 5.092 4.765 4.765 -5.092" Properties=species:S:1:pos:R:3 pbc="T T T"
Sm 0.000 0.000 0.000
Y 6.421 0.816 0.031
Y 1.695 -0.681 3.550
Y 0.816 3.108 -0.031
Y 3.070 5.446 -1.542
Y 4.084 3.070 1.542
Y 3.948 1.656 5.061
Y 0.681 1.695 6.634
Y -1.656 3.948 5.123
Ho 3.709 2.007 -1.797
Ho 4.765 0.000 2.546
Ho 2.758 -1.055 6.890
Ho 1.055 2.758 3.295
Ho 2.007 5.820 1.797
```

No. 9
Sm2Y9Ho3: theoretical powder diffractogram (λ = 1.5418 Å (Cu Kα)), based on the PBE geometry in Alexandria.
Intensities are scaled so that the largest is 100.

Largest 8 diffraction maxima, low angle first, 10 to 90 degrees two-theta:
2θ = 30.7°, I 100; 2θ = 35.6°, I 50; 2θ = 51.2°, I 35; 2θ = 60.9°, I 41; 2θ = 63.9°, I 6; 2θ = 63.9°, I 6; 2θ = 83.5°, I 17; 2θ = 86.1°, I 10

Crystal structure
```
14
Lattice="9.104 -2.521 0.000 9.104 2.521 0.000 -5.606 0.000 9.805" Properties=species:S:1:pos:R:3 pbc="T T T"
Sm 0.000 0.000 0.000
Sm -0.690 0.000 3.500
Y -1.389 0.000 7.008
Y 3.525 0.000 0.702
Y 2.102 0.000 7.705
Y 6.303 0.000 4.894
Y 5.625 0.000 8.405
Y 10.517 0.000 2.108
Y 9.823 0.000 5.613
Y 14.016 0.000 2.797
Y 13.315 0.000 6.296
Ho 2.806 0.000 4.203
Ho 7.008 0.000 1.393
Ho 9.120 0.000 9.113
```

No. 10
Sm2Y5Ho3: theoretical powder diffractogram (λ = 1.5418 Å (Cu Kα)), based on the PBE geometry in Alexandria.
Intensities are scaled so that the largest is 100.

Largest 8 diffraction maxima, low angle first, 10 to 90 degrees two-theta:
2θ = 19.9°, I 22; 2θ = 30.1°, I 78; 2θ = 30.7°, I 100; 2θ = 32.2°, I 31; 2θ = 33.5°, I 44; 2θ = 37.5°, I 27; 2θ = 39.0°, I 21; 2θ = 47.2°, I 21

Crystal structure
```
20
Lattice="5.347 -8.046 0.000 5.347 8.046 0.000 -5.330 0.000 7.692" Properties=species:S:1:pos:R:3 pbc="T T T"
Sm 1.284 1.993 0.343
Sm -1.381 -1.993 4.189
Sm 6.745 1.993 3.503
Sm 4.080 -1.993 7.349
Y -1.306 1.887 5.913
Y 1.349 4.341 5.769
Y 4.015 3.646 1.923
Y 1.359 -1.887 2.067
Y 4.015 0.451 1.923
Y 1.349 -0.451 5.769
Y 4.005 1.887 5.625
Y 1.349 -3.646 5.769
Y 4.015 -4.341 1.923
Y 6.670 -1.887 1.779
Ho 1.349 7.630 5.769
Ho 1.287 1.944 3.467
Ho -1.378 -1.944 7.313
Ho 6.742 1.944 0.379
Ho 4.077 -1.944 4.225
Ho 4.015 -7.630 1.923
```

No. 11
Sm3YHo7: theoretical powder diffractogram (λ = 1.5418 Å (Cu Kα)), based on the PBE geometry in Alexandria.
Intensities are scaled so that the largest is 100.

Largest 8 diffraction maxima, low angle first, 10 to 90 degrees two-theta:
2θ = 31.6°, I 57; 2θ = 31.9°, I 100; 2θ = 32.1°, I 15; 2θ = 32.5°, I 53; 2θ = 33.0°, I 52; 2θ = 36.0°, I 19; 2θ = 46.3°, I 21; 2θ = 57.6°, I 20

Crystal structure
```
11
Lattice="6.957 0.000 0.000 0.000 5.513 0.000 -3.445 0.000 9.357" Properties=species:S:1:pos:R:3 pbc="T T T"
Sm 0.000 0.000 0.000
Sm 0.246 2.757 4.666
Sm 3.266 2.757 4.691
Y 3.479 0.000 0.000
Ho -1.722 0.000 4.678
Ho -1.703 2.757 7.386
Ho 1.751 2.757 1.299
Ho 1.772 0.000 3.085
Ho 1.741 0.000 6.271
Ho 1.762 2.757 8.058
Ho 5.216 2.757 1.971
```

No. 12
SmY8Ho4: theoretical powder diffractogram (λ = 1.5418 Å (Cu Kα)), based on the PBE geometry in Alexandria.
Intensities are scaled so that the largest is 100.

Largest 8 diffraction maxima, low angle first, 10 to 90 degrees two-theta:
2θ = 28.4°, I 23; 2θ = 29.5°, I 26; 2θ = 31.2°, I 100; 2θ = 32.7°, I 39; 2θ = 38.9°, I 35; 2θ = 50.0°, I 29; 2θ = 52.3°, I 14; 2θ = 59.1°, I 19

Crystal structure
```
13
Lattice="3.651 2.108 9.088 -3.651 2.108 9.088 0.000 -4.215 9.088" Properties=species:S:1:pos:R:3 pbc="T T T"
Sm 0.000 0.000 0.000
Y 0.000 -1.887 10.877
Y -1.634 0.943 10.877
Y 0.000 0.000 7.709
Y -1.634 -0.943 16.387
Y 1.634 0.943 10.877
Y 0.000 0.000 19.555
Y 1.634 -0.943 16.387
Y 0.000 1.887 16.387
Ho -3.651 0.000 13.632
Ho -1.825 1.054 4.544
Ho 1.825 1.054 4.544
Ho 0.000 0.000 13.632
```